The following is a theoretical powder diffraction line list of TbPr2DyHo. It was derived from a cell relaxed with GGA-PBE, using Cu Kα.
Kinematic intensities with the Lorentz-polarization factor, no thermal factor.

Cell and atoms:
Cell: 7.1784 7.1784 7.3160 Å, 90.00 90.00 108.08°
Sites, in units of the cell vectors:
Tb: 0.0212 0.9788 0.7500
Tb: 0.9788 0.0212 0.2500
Pr: 0.3066 0.3066 0.0000
Pr: 0.3066 0.3066 0.5000
Pr: 0.6934 0.6934 0.0000
Pr: 0.6934 0.6934 0.5000
Dy: 0.2595 0.7405 0.2500
Dy: 0.7405 0.2595 0.7500
Ho: 0.2848 0.7152 0.7500
Ho: 0.7152 0.2848 0.2500

Main lines, sorted by position (2θ from 10° to 90°):
d 3.412, 26.12 deg, intensity 49; d 3.224, 27.67 deg, intensity 28; d 3.096, 28.84 deg, intensity 54; d 2.905, 30.78 deg, intensity 55; d 2.763, 32.41 deg, intensity 100; d 2.731, 32.79 deg, intensity 26; d 2.536, 35.39 deg, intensity 45; d 2.274, 39.63 deg, intensity 41; d 2.002, 45.29 deg, intensity 63; d 1.828, 49.89 deg, intensity 30